No. 1
Structure and simulated X-ray diffraction stick pattern of Tb2PmY6Er2 (a PBE-relaxed structure; Cu Ka).

a = 6.6459 Å, b = 6.6459 Å, c = 10.5673 Å
α = 90.02°, β = 90.02°, γ = 129.32°
Positions (direct):
Tb 0.1352 0.8648 0.0000
Tb 0.8648 0.1352 0.0000
Pm 0.5000 0.5000 0.5000
Y 0.0007 0.0007 0.2898
Y 0.3458 0.6529 0.7929
Y 0.3471 0.6542 0.2071
Y 0.6529 0.3458 0.7929
Y 0.6542 0.3471 0.2071
Y 0.9993 0.9993 0.7102
Er 0.2038 0.7962 0.5000
Er 0.7962 0.2038 0.5000

Principal peaks in the range 10° ≤ 2θ ≤ 90°, in order of rising 2θ:
- 30.8°, d 2.906, rel. 25
- 31.0°, d 2.889, rel. 22
- 31.5°, d 2.844, rel. 38
- 32.2°, d 2.783, rel. 100
- 33.9°, d 2.642, rel. 19
- 44.7°, d 2.027, rel. 16
- 46.9°, d 1.936, rel. 16
- 56.4°, d 1.630, rel. 20
- 62.4°, d 1.489, rel. 14
- 62.9°, d 1.477, rel. 12



No. 2
Structure and simulated X-ray diffraction stick pattern of Tb4Pm2YEr2 (a PBE-relaxed structure; Cu Ka).

a = 9.4490 Å, b = 9.4490 Å, c = 8.7589 Å
α = 90.04°, β = 90.04°, γ = 21.76°
Positions (direct):
Tb 0.0564 0.0564 0.1682
Tb 0.2782 0.2782 0.8312
Tb 0.7218 0.7218 0.1688
Tb 0.9436 0.9436 0.8318
Pm 0.3886 0.3886 0.1687
Pm 0.6114 0.6114 0.8313
Y 0.5000 0.5000 0.5000
Er 0.1675 0.1675 0.4993
Er 0.8325 0.8325 0.5007

Principal peaks in the range 10° ≤ 2θ ≤ 90°, in order of rising 2θ:
- 30.7°, d 2.916, rel. 100
- 35.5°, d 2.525, rel. 51
- 51.1°, d 1.786, rel. 30
- 51.2°, d 1.784, rel. 6
- 60.8°, d 1.523, rel. 39
- 63.8°, d 1.459, rel. 6
- 63.9°, d 1.457, rel. 6
- 83.4°, d 1.159, rel. 10
- 86.1°, d 1.130, rel. 11
- 86.2°, d 1.128, rel. 5



No. 3
Structure and simulated X-ray diffraction stick pattern of Tb2Pm2YEr2 (a PBE-relaxed structure; Cu Ka).

a = 8.7941 Å, b = 8.7941 Å, c = 8.7941 Å
α = 37.75°, β = 37.75°, γ = 37.75°
Positions (direct):
Tb 0.2166 0.2166 0.2166
Tb 0.7834 0.7834 0.7834
Pm 0.3609 0.3609 0.3609
Pm 0.6391 0.6391 0.6391
Y 0.5000 0.5000 0.5000
Er 0.0733 0.0733 0.0733
Er 0.9267 0.9267 0.9267

Principal peaks in the range 10° ≤ 2θ ≤ 90°, in order of rising 2θ:
- 31.4°, d 2.848, rel. 100
- 38.6°, d 2.333, rel. 1
- 45.0°, d 2.014, rel. 18
- 55.8°, d 1.647, rel. 9
- 56.0°, d 1.643, rel. 29
- 65.5°, d 1.426, rel. 6
- 65.6°, d 1.423, rel. 6
- 74.4°, d 1.275, rel. 8
- 74.5°, d 1.273, rel. 8
- 83.1°, d 1.162, rel. 3



No. 4
Structure and simulated X-ray diffraction stick pattern of TbPmY2Er2 (a PBE-relaxed structure; Cu Ka).

a = 6.5278 Å, b = 17.8041 Å, c = 3.4013 Å
α = 90.00°, β = 90.00°, γ = 90.00°
Positions (direct):
Tb 0.0000 0.0000 0.0000
Tb 0.5000 0.5000 0.5000
Pm 0.0000 0.5000 0.0000
Pm 0.5000 0.0000 0.5000
Y 0.2248 0.3135 0.0000
Y 0.2752 0.8135 0.5000
Y 0.7248 0.1865 0.5000
Y 0.7752 0.6865 0.0000
Er 0.2229 0.1471 0.5000
Er 0.2771 0.6471 0.0000
Er 0.7229 0.3529 0.0000
Er 0.7771 0.8529 0.5000

Principal peaks in the range 10° ≤ 2θ ≤ 90°, in order of rising 2θ:
- 16.8°, d 5.264, rel. 47
- 26.7°, d 3.341, rel. 32
- 29.1°, d 3.064, rel. 100
- 30.1°, d 2.968, rel. 88
- 30.3°, d 2.951, rel. 83
- 31.3°, d 2.857, rel. 57
- 34.1°, d 2.632, rel. 83
- 36.0°, d 2.497, rel. 54
- 41.2°, d 2.189, rel. 58
- 65.3°, d 1.429, rel. 51



No. 5
Structure and simulated X-ray diffraction stick pattern of PmEr8Te2 (a PBE-relaxed structure; Cu Ka).

a = 10.5292 Å, b = 10.5292 Å, c = 3.8357 Å
α = 94.96°, β = 94.96°, γ = 64.17°
Positions (direct):
Pm 0.0000 0.0000 0.0000
Er 0.1730 0.6548 0.2229
Er 0.2727 0.2727 0.1426
Er 0.3452 0.8270 0.7771
Er 0.4305 0.4305 0.7207
Er 0.5695 0.5695 0.2793
Er 0.6548 0.1730 0.2229
Er 0.7273 0.7273 0.8574
Er 0.8270 0.3452 0.7771
Te 0.1402 0.1402 0.5719
Te 0.8598 0.8598 0.4281

Principal peaks in the range 10° ≤ 2θ ≤ 90°, in order of rising 2θ:
- 25.6°, d 3.476, rel. 19
- 29.3°, d 3.052, rel. 21
- 30.2°, d 2.958, rel. 68
- 30.9°, d 2.894, rel. 25
- 32.0°, d 2.796, rel. 61
- 33.5°, d 2.678, rel. 100
- 36.3°, d 2.473, rel. 37
- 38.0°, d 2.369, rel. 37
- 48.1°, d 1.890, rel. 19
- 58.0°, d 1.591, rel. 21



No. 6
Structure and simulated X-ray diffraction stick pattern of Pm3ErTe4 (a PBE-relaxed structure; Cu Ka).

a = 8.9884 Å, b = 12.5363 Å, c = 4.3661 Å
α = 90.00°, β = 90.00°, γ = 90.00°
Positions (direct):
Pm 0.0000 0.0000 0.0000
Pm 0.2500 0.2500 0.5000
Pm 0.2500 0.7500 0.5000
Pm 0.5000 0.5000 0.0000
Pm 0.7500 0.2500 0.5000
Pm 0.7500 0.7500 0.5000
Er 0.0000 0.5000 0.0000
Er 0.5000 0.0000 0.0000
Te 0.0000 0.2545 0.0000
Te 0.0000 0.7455 0.0000
Te 0.2412 0.5000 0.5000
Te 0.2588 0.0000 0.5000
Te 0.5000 0.2455 0.0000
Te 0.5000 0.7545 0.0000
Te 0.7412 0.0000 0.5000
Te 0.7588 0.5000 0.5000

Principal peaks in the range 10° ≤ 2θ ≤ 90°, in order of rising 2θ:
- 28.5°, d 3.132, rel. 100
- 40.1°, d 2.247, rel. 13
- 40.7°, d 2.215, rel. 51
- 41.4°, d 2.183, rel. 12
- 49.9°, d 1.826, rel. 14
- 51.0°, d 1.791, rel. 13
- 59.0°, d 1.566, rel. 13
- 66.8°, d 1.401, rel. 23
- 73.3°, d 1.291, rel. 9
- 75.0°, d 1.266, rel. 8



No. 7
Structure and simulated X-ray diffraction stick pattern of Pm5ErTe8 (a PBE-relaxed structure; Cu Ka).

a = 8.1883 Å, b = 8.1883 Å, c = 8.1883 Å
α = 109.75°, β = 109.75°, γ = 108.92°
Positions (direct):
Pm 0.0000 0.0000 0.0000
Pm 0.1250 0.4944 0.8679
Pm 0.5056 0.3735 0.6307
Pm 0.6265 0.2572 0.1321
Pm 0.7428 0.8750 0.3693
Er 0.2500 0.7500 0.5000
Te 0.0257 0.2749 0.3998
Te 0.2272 0.1169 0.7464
Te 0.3705 0.4808 0.2536
Te 0.3740 0.9743 0.2491
Te 0.5192 0.7728 0.8897
Te 0.7251 0.1249 0.7509
Te 0.8751 0.6260 0.6002
Te 0.8831 0.6295 0.1103

Principal peaks in the range 10° ≤ 2θ ≤ 90°, in order of rising 2θ:
- 29.7°, d 3.007, rel. 52
- 30.0°, d 2.981, rel. 100
- 35.4°, d 2.535, rel. 36
- 35.6°, d 2.523, rel. 68
- 42.9°, d 2.109, rel. 17
- 44.9°, d 2.017, rel. 12
- 47.2°, d 1.927, rel. 15
- 49.1°, d 1.854, rel. 11
- 60.5°, d 1.531, rel. 15
- 60.6°, d 1.529, rel. 14



No. 8
Structure and simulated X-ray diffraction stick pattern of Pm2Er3Th2 (a PBE-relaxed structure; Cu Ka).

a = 17.5770 Å, b = 3.4437 Å, c = 8.5950 Å
α = 90.00°, β = 119.25°, γ = 90.00°
Positions (direct):
Pm 0.0629 0.0000 0.4094
Pm 0.4371 0.5000 0.5906
Pm 0.5629 0.5000 0.4094
Pm 0.9371 0.0000 0.5906
Er 0.0000 0.5000 0.0000
Er 0.2156 0.5000 0.2998
Er 0.2844 0.0000 0.7002
Er 0.5000 0.0000 0.0000
Er 0.7156 0.0000 0.2998
Er 0.7844 0.5000 0.7002
Th 0.1539 0.5000 0.8530
Th 0.3461 0.0000 0.1470
Th 0.6539 0.0000 0.8530
Th 0.8461 0.5000 0.1470

Principal peaks in the range 10° ≤ 2θ ≤ 90°, in order of rising 2θ:
- 27.9°, d 3.197, rel. 29
- 30.3°, d 2.951, rel. 51
- 31.0°, d 2.888, rel. 70
- 31.3°, d 2.860, rel. 100
- 31.8°, d 2.816, rel. 64
- 33.9°, d 2.647, rel. 57
- 36.6°, d 2.455, rel. 26
- 37.8°, d 2.379, rel. 24
- 39.3°, d 2.290, rel. 20
- 55.9°, d 1.644, rel. 24